Li2FeF4: simulated X-ray diffraction stick pattern (a wavelength of 1.5418 Å), based on a crystal structure in Alexandria, relaxed with GGA+U.

Crystal structure
a b c (Å): 8.5740 8.5966 3.2679
angles (deg): 90.00 90.00 90.00
Element x y z (fractional)
Li1 0.2378 0.2370 0.0000
Li2 0.2622 0.7370 0.0000
Li3 0.7378 0.2630 0.0000
Li4 0.7622 0.7630 0.0000
Fe1 0.0000 0.0000 0.5000
Fe2 0.5000 0.5000 0.5000
F1 0.1132 0.8870 0.0000
F2 0.1689 0.1684 0.5000
F3 0.3311 0.6684 0.5000
F4 0.3868 0.3870 0.0000
F5 0.6132 0.6130 0.0000
F6 0.6689 0.3316 0.5000
F7 0.8311 0.8316 0.5000
F8 0.8868 0.1130 0.0000

Most intense lines, 2θ = 15–90°, sorted by position:
d [Å]	two_theta	I (rel.)	hkl
3.035	29.4	100	2 2 0
2.878	31.1	54	1 1 1
2.489	36.1	98	1 2 1
2.088	43.3	63	3 1 1
2.024	44.8	53	3 3 0
1.655	55.5	62	2 4 1